[1]
The following is a computed XRD peak list of Ta3In2Br9. It was derived from the GGA-PBE geometry in Alexandria, using CuKα.
Peak positions follow from Bragg's law for the DFT cell and can differ from measured ones.

Cell and atoms:
Lattice parameters (Å, degrees): 10.238 10.238 10.222 103.58 103.58 114.55
Fractional positions:
Ta 0.039 0.208 0.635
Ta 0.112 0.112 0.381
Ta 0.208 0.039 0.635
Ta 0.792 0.961 0.365
Ta 0.888 0.888 0.619
Ta 0.961 0.792 0.365
In 0.233 0.550 0.163
In 0.450 0.767 0.837
In 0.550 0.233 0.163
In 0.767 0.450 0.837
Br 0.090 0.879 0.185
Br 0.095 0.500 0.826
Br 0.121 0.910 0.815
Br 0.185 0.398 0.521
Br 0.212 0.788 0.500
Br 0.267 0.267 0.220
Br 0.310 0.310 0.836
Br 0.398 0.185 0.521
Br 0.500 0.095 0.826
Br 0.500 0.905 0.174
Br 0.602 0.815 0.479
Br 0.690 0.690 0.164
Br 0.733 0.733 0.780
Br 0.788 0.212 0.500
Br 0.815 0.602 0.479
Br 0.879 0.090 0.185
Br 0.905 0.500 0.174
Br 0.910 0.121 0.815

Top 10 peaks for 2θ from 10° to 90°, in order of rising 2θ:
2θ 10.3, d = 8.624 Å, intensity 100.0
2θ 11.1, d = 7.965 Å, intensity 61.8
2θ 14.1, d = 6.290 Å, intensity 21.7
2θ 30.3, d = 2.947 Å, intensity 24.5
2θ 31.6, d = 2.830 Å, intensity 33.9
2θ 34.5, d = 2.598 Å, intensity 16.9
2θ 36.0, d = 2.497 Å, intensity 26.4
2θ 40.1, d = 2.246 Å, intensity 20.5
2θ 45.0, d = 2.014 Å, intensity 15.8
2θ 49.5, d = 1.843 Å, intensity 15.2

***

[2]
The following is a computed XRD peak list of K2Er4S3O2. It was derived from the GGA-PBE geometry in Alexandria, using CuKα.
Peak positions follow from Bragg's law for the DFT cell and can differ from measured ones.

Cell and atoms:
Lattice parameters (Å, degrees): 12.156 12.156 12.156 158.65 158.65 30.37
Fractional positions:
K 0.202 0.202 0.000
K 0.798 0.798 0.000
Er 0.073 0.573 0.500
Er 0.427 0.927 0.500
Er 0.573 0.073 0.500
Er 0.927 0.427 0.500
S 0.348 0.348 0.000
S 0.500 0.500 0.000
S 0.652 0.652 0.000
O 0.092 0.092 0.000
O 0.908 0.908 0.000

Top 10 peaks for 2θ from 10° to 90°, in order of rising 2θ:
2θ 22.7, d = 3.910 Å, intensity 50.8
2θ 28.0, d = 3.185 Å, intensity 40.4
2θ 29.1, d = 3.073 Å, intensity 75.8
2θ 30.5, d = 2.933 Å, intensity 29.2
2θ 36.4, d = 2.469 Å, intensity 100.0
2θ 40.0, d = 2.252 Å, intensity 62.0
2θ 41.9, d = 2.157 Å, intensity 44.4
2θ 46.5, d = 1.952 Å, intensity 37.1
2θ 51.1, d = 1.786 Å, intensity 27.7
2θ 70.3, d = 1.338 Å, intensity 29.3

***

[3]
The following is a computed XRD peak list of Pr2DyEr2Sc2. It was derived from the GGA-PBE geometry in Alexandria, using CuKα.
Peak positions follow from Bragg's law for the DFT cell and can differ from measured ones.

Cell and atoms:
Lattice parameters (Å, degrees): 22.695 3.487 5.648 90.00 104.37 90.00
Fractional positions:
Pr 0.141 0.000 0.141
Pr 0.359 0.500 0.859
Pr 0.641 0.500 0.141
Pr 0.859 0.000 0.859
Dy 0.000 0.500 0.000
Dy 0.500 0.000 0.000
Er 0.089 0.500 0.589
Er 0.411 0.000 0.411
Er 0.589 0.000 0.589
Er 0.911 0.500 0.411
Sc 0.226 0.000 0.726
Sc 0.274 0.500 0.274
Sc 0.726 0.500 0.726
Sc 0.774 0.000 0.274

Top 10 peaks for 2θ from 10° to 90°, in order of rising 2θ:
2θ 25.7, d = 3.470 Å, intensity 23.4
2θ 28.3, d = 3.149 Å, intensity 29.7
2θ 30.1, d = 2.967 Å, intensity 19.2
2θ 31.7, d = 2.824 Å, intensity 47.6
2θ 32.6, d = 2.745 Å, intensity 73.7
2θ 34.3, d = 2.611 Å, intensity 100.0
2θ 52.8, d = 1.734 Å, intensity 22.3
2θ 58.2, d = 1.586 Å, intensity 21.7
2θ 62.9, d = 1.478 Å, intensity 25.1
2θ 63.2, d = 1.472 Å, intensity 22.7